For Ga2CoO4, the GGA+U geometry in the Materials Project gives the computed powder XRD pattern in this record (Cu Kα X-rays).
No peak broadening, texture or thermal motion is included.

Unit cell a=5.955 b=5.955 c=5.955 alpha=121.16 beta=119.53 gamma=89.41
Fractional coordinates of all 14 atoms:
Ga: 0.000 0.000 0.000
Ga: 0.385 0.635 0.750
Ga: 0.500 0.000 0.500
Ga: 0.615 0.365 0.250
Co: 0.000 0.000 0.500
Co: 0.000 0.500 0.000
O: 0.230 0.236 0.994
O: 0.251 0.236 0.485
O: 0.251 0.765 0.015
O: 0.259 0.764 0.494
O: 0.741 0.236 0.506
O: 0.749 0.235 0.985
O: 0.749 0.764 0.515
O: 0.770 0.764 0.006

Peak list (10 most intense, 10 to 80 degrees two-theta, low angle first)
2θ 30.02, I 36; 2θ 35.15, I 24; 2θ 35.28, I 100; 2θ 35.76, I 56; 2θ 43.21, I 18; 2θ 56.45, I 14; 2θ 56.83, I 15; 2θ 57.42, I 25; 2θ 61.89, I 14; 2θ 62.39, I 51

---

For Ga2CoS2O2, the GGA+U geometry in the Materials Project gives the computed powder XRD pattern in this record (Cu Kα X-rays).
No peak broadening, texture or thermal motion is included.

Unit cell a=3.772 b=3.772 c=16.665 alpha=90.00 beta=90.00 gamma=90.00
Fractional coordinates of all 14 atoms:
Ga: 0.000 0.500 0.250
Ga: 0.000 0.500 0.750
Ga: 0.500 0.000 0.250
Ga: 0.500 0.000 0.750
Co: 0.000 0.000 0.000
Co: 0.500 0.500 0.500
S: 0.000 0.000 0.144
S: 0.000 0.000 0.856
S: 0.500 0.500 0.356
S: 0.500 0.500 0.644
O: 0.000 0.500 0.000
O: 0.000 0.500 0.500
O: 0.500 0.000 0.000
O: 0.500 0.000 0.500

Peak list (10 most intense, 10 to 80 degrees two-theta, low angle first)
2θ 10.62, I 57; 2θ 21.33, I 100; 2θ 24.19, I 99; 2θ 35.33, I 84; 2θ 40.14, I 69; 2θ 43.44, I 35; 2θ 47.24, I 68; 2θ 48.25, I 60; 2θ 53.31, I 32; 2θ 66.92, I 34

---

For Sr2GaCo2O7, the GGA+U geometry in the Materials Project gives the computed powder XRD pattern in this record (Cu Kα X-rays).
No peak broadening, texture or thermal motion is included.

Unit cell a=5.176 b=5.239 c=12.465 alpha=102.13 beta=101.92 gamma=90.02
Fractional coordinates of all 24 atoms:
Sr: 0.000 0.000 0.000
Sr: 0.201 0.200 0.401
Sr: 0.500 0.484 0.000
Sr: 0.701 0.686 0.401
Ga: 0.155 0.662 0.201
Ga: 0.656 0.023 0.202
Co: 0.290 0.781 0.579
Co: 0.409 0.900 0.819
Co: 0.785 0.275 0.571
Co: 0.912 0.405 0.825
O: 0.013 0.494 0.054
O: 0.017 0.033 0.560
O: 0.023 0.004 0.201
O: 0.048 0.537 0.566
O: 0.160 0.655 0.837
O: 0.161 0.641 0.349
O: 0.175 0.158 0.835
O: 0.512 0.048 0.056
O: 0.516 0.007 0.559
O: 0.524 0.683 0.202
O: 0.548 0.513 0.569
O: 0.663 0.191 0.352
O: 0.665 0.666 0.843
O: 0.674 0.161 0.827

Peak list (10 most intense, 10 to 80 degrees two-theta, low angle first)
2θ 25.31, I 25; 2θ 28.50, I 86; 2θ 33.18, I 100; 2θ 34.23, I 38; 2θ 34.66, I 41; 2θ 37.76, I 42; 2θ 38.90, I 27; 2θ 49.51, I 46; 2θ 52.19, I 22; 2θ 63.90, I 25

---

For Sr2GaCo2O7, the GGA+U geometry in the Materials Project gives the computed powder XRD pattern in this record (Cu Kα X-rays).
No peak broadening, texture or thermal motion is included.

Unit cell a=12.468 b=12.468 c=5.239 alpha=102.12 beta=102.12 gamma=23.96
Fractional coordinates of all 24 atoms:
Sr: 0.150 0.150 0.144
Sr: 0.350 0.349 0.342
Sr: 0.651 0.650 0.658
Sr: 0.850 0.850 0.856
Ga: 0.195 0.304 0.680
Ga: 0.696 0.805 0.320
Co: 0.062 0.061 0.561
Co: 0.439 0.438 0.939
Co: 0.562 0.561 0.061
Co: 0.939 0.938 0.439
O: 0.170 0.697 0.197
O: 0.186 0.673 0.682
O: 0.191 0.162 0.701
O: 0.303 0.830 0.803
O: 0.327 0.173 0.341
O: 0.327 0.814 0.318
O: 0.339 0.307 0.851
O: 0.668 0.196 0.170
O: 0.691 0.174 0.677
O: 0.693 0.661 0.149
O: 0.804 0.332 0.830
O: 0.826 0.309 0.323
O: 0.827 0.673 0.659
O: 0.838 0.809 0.299

Peak list (10 most intense, 10 to 80 degrees two-theta, low angle first)
2θ 25.31, I 25; 2θ 28.50, I 85; 2θ 33.18, I 100; 2θ 34.23, I 38; 2θ 34.66, I 40; 2θ 37.76, I 42; 2θ 38.90, I 25; 2θ 49.51, I 46; 2θ 52.19, I 22; 2θ 63.90, I 25

---

For Sr2YGaCo2O7, the GGA+U geometry in the Materials Project gives the computed powder XRD pattern in this record (Cu Kα X-rays).
No peak broadening, texture or thermal motion is included.

Unit cell a=5.527 b=5.681 c=11.988 alpha=76.36 beta=76.73 gamma=89.90
Fractional coordinates of all 26 atoms:
Sr: 0.000 0.000 0.000
Sr: 0.196 0.198 0.602
Sr: 0.499 0.547 0.999
Sr: 0.699 0.746 0.602
Y: 0.341 0.371 0.303
Y: 0.839 0.872 0.302
Ga: 0.133 0.548 0.801
Ga: 0.632 0.198 0.798
Co: 0.264 0.791 0.456
Co: 0.412 0.947 0.158
Co: 0.762 0.298 0.460
Co: 0.922 0.447 0.143
O: 0.016 0.565 0.433
O: 0.035 0.069 0.426
O: 0.137 0.747 0.654
O: 0.149 0.179 0.171
O: 0.161 0.675 0.178
O: 0.478 0.500 0.800
O: 0.486 0.994 0.942
O: 0.518 0.551 0.429
O: 0.534 0.050 0.427
O: 0.643 0.152 0.650
O: 0.647 0.196 0.173
O: 0.660 0.695 0.175
O: 0.976 0.248 0.801
O: 0.993 0.593 0.951

Peak list (10 most intense, 10 to 80 degrees two-theta, low angle first)
2θ 31.49, I 29; 2θ 32.40, I 32; 2θ 32.78, I 100; 2θ 39.11, I 17; 2θ 45.81, I 35; 2θ 48.23, I 8; 2θ 56.92, I 14; 2θ 58.02, I 15; 2θ 58.74, I 6; 2θ 68.74, I 6

---

For GdCoO3, the GGA+U geometry in the Materials Project gives the computed powder XRD pattern in this record (Cu Kα X-rays).
No peak broadening, texture or thermal motion is included.

Unit cell a=3.773 b=3.773 c=3.858 alpha=90.00 beta=90.00 gamma=90.00
Fractional coordinates of all 5 atoms:
Gd: 0.000 0.000 0.000
Co: 0.500 0.500 0.500
O: 0.000 0.500 0.500
O: 0.500 0.000 0.500
O: 0.500 0.500 0.000

Peak list (10 most intense, 10 to 80 degrees two-theta, low angle first)
2θ 23.58, I 16; 2θ 33.21, I 100; 2θ 33.59, I 49; 2θ 41.13, I 27; 2θ 47.11, I 16; 2θ 48.23, I 30; 2θ 59.09, I 19; 2θ 59.82, I 37; 2θ 69.72, I 18; 2θ 70.60, I 9

---

For SrGd2Co2O7, the GGA+U geometry in the Materials Project gives the computed powder XRD pattern in this record (Cu Kα X-rays).
No peak broadening, texture or thermal motion is included.

Unit cell a=5.460 b=5.460 c=19.734 alpha=90.00 beta=90.00 gamma=90.00
Fractional coordinates of all 48 atoms:
Sr: 0.243 0.243 0.000
Sr: 0.257 0.743 0.500
Sr: 0.743 0.257 0.500
Sr: 0.757 0.757 0.000
Gd: 0.230 0.230 0.181
Gd: 0.230 0.230 0.819
Gd: 0.270 0.730 0.319
Gd: 0.270 0.730 0.681
Gd: 0.730 0.270 0.319
Gd: 0.730 0.270 0.681
Gd: 0.770 0.770 0.181
Gd: 0.770 0.770 0.819
Co: 0.245 0.245 0.401
Co: 0.245 0.245 0.599
Co: 0.255 0.745 0.099
Co: 0.255 0.745 0.901
Co: 0.745 0.255 0.099
Co: 0.745 0.255 0.901
Co: 0.755 0.755 0.401
Co: 0.755 0.755 0.599
O: 0.000 0.000 0.093
O: 0.000 0.000 0.377
O: 0.000 0.000 0.623
O: 0.000 0.000 0.907
O: 0.000 0.500 0.106
O: 0.000 0.500 0.394
O: 0.000 0.500 0.606
O: 0.000 0.500 0.894
O: 0.203 0.797 0.207
O: 0.203 0.797 0.793
O: 0.214 0.214 0.500
O: 0.286 0.714 0.000
O: 0.297 0.297 0.293
O: 0.297 0.297 0.707
O: 0.500 0.000 0.106
O: 0.500 0.000 0.394
O: 0.500 0.000 0.606
O: 0.500 0.000 0.894
O: 0.500 0.500 0.123
O: 0.500 0.500 0.407
O: 0.500 0.500 0.593
O: 0.500 0.500 0.877
O: 0.703 0.703 0.293
O: 0.703 0.703 0.707
O: 0.714 0.286 0.000
O: 0.786 0.786 0.500
O: 0.797 0.203 0.207
O: 0.797 0.203 0.793

Peak list (10 most intense, 10 to 80 degrees two-theta, low angle first)
2θ 26.77, I 24; 2θ 27.11, I 11; 2θ 32.44, I 100; 2θ 32.80, I 65; 2θ 43.06, I 22; 2θ 47.07, I 35; 2θ 47.70, I 11; 2θ 57.64, I 11; 2θ 58.33, I 37; 2θ 68.77, I 10

---

For SrGdCo2O6, the GGA+U geometry in the Materials Project gives the computed powder XRD pattern in this record (Cu Kα X-rays).
No peak broadening, texture or thermal motion is included.

Unit cell a=5.397 b=5.397 c=5.397 alpha=60.00 beta=60.00 gamma=60.00
Fractional coordinates of all 10 atoms:
Sr: 0.000 0.000 0.000
Gd: 0.500 0.500 0.500
Co: 0.250 0.250 0.250
Co: 0.750 0.750 0.750
O: 0.000 0.000 0.500
O: 0.000 0.500 0.000
O: 0.000 0.500 0.500
O: 0.500 0.000 0.000
O: 0.500 0.000 0.500
O: 0.500 0.500 0.000

Peak list (10 most intense, 10 to 80 degrees two-theta, low angle first)
2θ 20.15, I 9; 2θ 23.31, I 7; 2θ 33.20, I 100; 2θ 39.15, I 5; 2θ 40.96, I 15; 2θ 47.66, I 33; 2θ 53.71, I 4; 2θ 59.32, I 38; 2θ 69.69, I 19; 2θ 79.41, I 16

---

For Li2CoGe3O8, the GGA+U geometry in the Materials Project gives the computed powder XRD pattern in this record (Cu Kα X-rays).
No peak broadening, texture or thermal motion is included.

Unit cell a=8.300 b=8.300 c=8.300 alpha=90.00 beta=90.00 gamma=90.00
Fractional coordinates of all 56 atoms:
Li: 0.000 0.000 0.000
Li: 0.000 0.500 0.500
Li: 0.126 0.874 0.374
Li: 0.374 0.126 0.874
Li: 0.500 0.000 0.500
Li: 0.500 0.500 0.000
Li: 0.626 0.626 0.626
Li: 0.874 0.374 0.126
Co: 0.249 0.249 0.249
Co: 0.251 0.751 0.749
Co: 0.749 0.251 0.751
Co: 0.751 0.749 0.251
Ge: 0.125 0.628 0.130
Ge: 0.128 0.370 0.875
Ge: 0.130 0.125 0.628
Ge: 0.370 0.875 0.128
Ge: 0.372 0.630 0.375
Ge: 0.375 0.372 0.630
Ge: 0.625 0.872 0.870
Ge: 0.628 0.130 0.125
Ge: 0.630 0.375 0.372
Ge: 0.870 0.625 0.872
Ge: 0.872 0.870 0.625
Ge: 0.875 0.128 0.370
O: 0.102 0.128 0.393
O: 0.107 0.898 0.628
O: 0.112 0.612 0.888
O: 0.119 0.147 0.856
O: 0.128 0.393 0.102
O: 0.136 0.364 0.636
O: 0.144 0.619 0.353
O: 0.147 0.856 0.119
O: 0.353 0.144 0.619
O: 0.356 0.381 0.853
O: 0.364 0.636 0.136
O: 0.372 0.607 0.602
O: 0.381 0.853 0.356
O: 0.388 0.388 0.388
O: 0.393 0.102 0.128
O: 0.398 0.872 0.893
O: 0.602 0.372 0.607
O: 0.607 0.602 0.372
O: 0.612 0.888 0.112
O: 0.619 0.353 0.144
O: 0.628 0.107 0.898
O: 0.636 0.136 0.364
O: 0.644 0.881 0.647
O: 0.647 0.644 0.881
O: 0.853 0.356 0.381
O: 0.856 0.119 0.147
O: 0.864 0.864 0.864
O: 0.872 0.893 0.398
O: 0.881 0.647 0.644
O: 0.888 0.112 0.612
O: 0.893 0.398 0.872
O: 0.898 0.628 0.107

Peak list (10 most intense, 10 to 80 degrees two-theta, low angle first)
2θ 15.09, I 22; 2θ 18.51, I 56; 2θ 21.41, I 15; 2θ 23.97, I 32; 2θ 26.30, I 16; 2θ 35.88, I 100; 2θ 37.54, I 16; 2θ 43.62, I 42; 2θ 57.71, I 41; 2θ 63.39, I 51

---

For MgCoGe2O6, the GGA+U geometry in the Materials Project gives the computed powder XRD pattern in this record (Cu Kα X-rays).
No peak broadening, texture or thermal motion is included.

Unit cell a=6.650 b=6.650 c=5.244 alpha=97.80 beta=97.80 gamma=85.81
Fractional coordinates of all 20 atoms:
Mg: 0.232 0.768 0.750
Mg: 0.768 0.232 0.250
Co: 0.406 0.594 0.250
Co: 0.594 0.406 0.750
Ge: 0.105 0.294 0.790
Ge: 0.294 0.105 0.290
Ge: 0.706 0.895 0.710
Ge: 0.895 0.706 0.210
O: 0.069 0.209 0.098
O: 0.126 0.642 0.383
O: 0.209 0.069 0.598
O: 0.291 0.475 0.865
O: 0.358 0.874 0.117
O: 0.475 0.291 0.365
O: 0.525 0.709 0.635
O: 0.642 0.126 0.883
O: 0.709 0.525 0.135
O: 0.791 0.931 0.402
O: 0.874 0.358 0.617
O: 0.931 0.791 0.902

Peak list (10 most intense, 10 to 80 degrees two-theta, low angle first)
2θ 20.50, I 24; 2θ 26.20, I 28; 2θ 29.68, I 80; 2θ 30.32, I 63; 2θ 34.15, I 72; 2θ 34.83, I 100; 2θ 41.99, I 28; 2θ 56.96, I 27; 2θ 61.28, I 31; 2θ 62.88, I 31